(1)
This entry pairs a crystal structure of Ta2Hg2F11 with its calculated powder diffraction line list. Radiation: Cu Ka. Structure: a structure optimized by DFT (PBE).

The 10 most intense peaks (2θ = 15–90°), in order of rising 2θ:
| two_theta | Rel. int. |
| --- | --- |
| 23.13 | 29.1 |
| 24.90 | 100.0 |
| 25.12 | 81.2 |
| 25.47 | 23.7 |
| 33.95 | 18.4 |
| 43.88 | 17.8 |
| 44.03 | 14.6 |
| 48.27 | 18.1 |
| 48.66 | 18.3 |
| 50.44 | 18.3 |

Crystal structure
```
Ta2Hg2F11
1.0
10.998 -3.570 0.000
10.998 3.570 0.000
-8.284 0.000 10.904
Ta Hg F
8 8 44
Direct
0.090 0.615 0.489
0.107 0.694 0.871
0.306 0.893 0.629
0.385 0.910 0.011
0.615 0.090 0.989
0.694 0.107 0.371
0.893 0.306 0.129
0.910 0.385 0.511
0.035 0.537 0.128
0.211 0.648 0.209
0.352 0.789 0.291
0.463 0.965 0.372
0.537 0.035 0.628
0.648 0.211 0.709
0.789 0.352 0.791
0.965 0.463 0.872
0.006 0.080 0.151
0.051 0.214 0.385
0.075 0.111 0.526
0.080 0.006 0.651
0.107 0.279 0.254
0.111 0.075 0.026
0.140 0.332 0.632
0.154 0.532 0.924
0.199 0.507 0.363
0.208 0.383 0.504
0.214 0.051 0.885
0.279 0.107 0.754
0.282 0.503 0.767
0.293 0.683 0.019
0.302 0.595 0.607
0.317 0.707 0.481
0.332 0.140 0.132
0.383 0.208 0.004
0.405 0.698 0.893
0.468 0.846 0.576
0.493 0.801 0.137
0.497 0.718 0.733
0.503 0.282 0.267
0.507 0.199 0.863
0.532 0.154 0.424
0.595 0.302 0.107
0.617 0.792 0.996
0.668 0.860 0.868
0.683 0.293 0.519
0.698 0.405 0.393
0.707 0.317 0.981
0.718 0.497 0.233
0.721 0.893 0.246
0.786 0.949 0.115
0.792 0.617 0.496
0.801 0.493 0.637
0.846 0.468 0.076
0.860 0.668 0.368
0.889 0.925 0.974
0.893 0.721 0.746
0.920 0.994 0.349
0.925 0.889 0.474
0.949 0.786 0.615
0.994 0.920 0.849
```

***

(2)
This entry pairs a crystal structure of Gd2Sn2O7 with its calculated powder diffraction line list. Radiation: Cu Ka. Structure: a structure optimized by DFT (PBE).

The 10 most intense peaks (2θ = 15–90°), in order of rising 2θ:
| two_theta | Rel. int. |
| --- | --- |
| 29.59 | 100.0 |
| 34.30 | 33.6 |
| 37.48 | 2.5 |
| 45.04 | 0.9 |
| 49.29 | 48.5 |
| 58.54 | 44.7 |
| 61.42 | 10.3 |
| 72.27 | 7.3 |
| 79.97 | 18.7 |
| 82.49 | 15.0 |

Crystal structure
```
Gd2Sn2O7
1.0
0.000 5.229 5.229
5.229 0.000 5.229
5.229 5.229 0.000
Gd Sn O
4 4 14
Direct
0.000 0.000 0.000
0.000 0.000 0.500
0.000 0.500 0.000
0.500 0.000 0.000
0.000 0.500 0.500
0.500 0.000 0.500
0.500 0.500 0.000
0.500 0.500 0.500
0.125 0.125 0.125
0.162 0.162 0.588
0.162 0.588 0.162
0.162 0.588 0.588
0.412 0.412 0.838
0.412 0.838 0.412
0.412 0.838 0.838
0.588 0.162 0.162
0.588 0.162 0.588
0.588 0.588 0.162
0.838 0.412 0.412
0.838 0.412 0.838
0.838 0.838 0.412
0.875 0.875 0.875
```

***

(3)
This entry pairs a crystal structure of PrInNi2 with its calculated powder diffraction line list. Radiation: Cu Ka. Structure: a structure optimized by DFT (PBE).

The 10 most intense peaks (2θ = 15–90°), in order of rising 2θ:
| two_theta | Rel. int. |
| --- | --- |
| 30.37 | 100.0 |
| 33.18 | 20.5 |
| 34.17 | 31.7 |
| 37.47 | 82.4 |
| 41.41 | 23.7 |
| 42.65 | 27.8 |
| 42.84 | 25.3 |
| 44.32 | 34.3 |
| 47.24 | 20.8 |
| 58.82 | 22.5 |

Crystal structure
```
PrInNi2
1.0
5.249 0.000 0.000
0.000 4.088 0.000
0.000 0.000 7.192
Pr In Ni
2 2 4
Direct
0.250 0.000 0.227
0.750 0.000 0.773
0.250 0.500 0.843
0.750 0.500 0.157
0.000 0.500 0.500
0.250 0.000 0.609
0.500 0.500 0.500
0.750 0.000 0.391
```